1.
Diffraction record for GeWO4. The powder XRD pattern is computed, not measured: it uses DFT lattice parameters and positions (GGA+U) and Cu Kα (weighted mean of Kα1 and Kα2).
Peak positions follow from Bragg's law for the DFT cell and can differ from measured ones.

```
data_GeWO4
_cell_length_a 5.5849
_cell_length_b 11.7034
_cell_length_c 5.0551
_cell_angle_alpha 90.00
_cell_angle_beta 90.00
_cell_angle_gamma 90.00
_space_group_name_H-M_alt 'P n n a'
_space_group_IT_number 52
loop_
_space_group_symop_operation_xyz
'x,y,z'
'-x,-y,-z'
'-x+1/2,-y,z'
'x+1/2,y,-z'
'x,-y+1/2,-z+1/2'
'-x,y+1/2,z+1/2'
'-x+1/2,y+1/2,-z+1/2'
'x+1/2,-y+1/2,z+1/2'
loop_
_atom_site_label
_atom_site_fract_x
_atom_site_fract_y
_atom_site_fract_z
Ge1 0.2500 0.0000 0.1704
W1 0.1411 0.2500 0.7500
O1 0.1011 0.0985 0.8999
O2 0.1296 0.7038 0.0009
```

Main lines, in order of rising 2θ (10 to 90 degrees two-theta):
hkl 0 2 0, 2θ 15.14, d = 5.852 Å, rel. 40
hkl 1 1 1, 2θ 24.95, d = 3.569 Å, rel. 51
hkl 1 2 1, 2θ 28.28, d = 3.156 Å, rel. 100
hkl 0 4 0, 2θ 30.55, d = 2.926 Å, rel. 30
hkl 2 1 0, 2θ 32.98, d = 2.716 Å, rel. 22
hkl 1 3 1, 2θ 33.15, d = 2.703 Å, rel. 16
hkl 0 4 2, 2θ 47.54, d = 1.913 Å, rel. 14
hkl 2 1 2, 2θ 49.24, d = 1.850 Å, rel. 22
hkl 1 6 1, 2θ 52.95, d = 1.729 Å, rel. 32
hkl 2 3 2, 2θ 54.31, d = 1.689 Å, rel. 17


2.
Diffraction record for MgNi2Mo2O8. The powder XRD pattern is computed, not measured: it uses DFT lattice parameters and positions (GGA+U) and Cu Kα (weighted mean of Kα1 and Kα2).
Peak positions follow from Bragg's law for the DFT cell and can differ from measured ones.

```
data_MgNi2Mo2O8
_cell_length_a 4.8578
_cell_length_b 5.8955
_cell_length_c 5.0994
_cell_angle_alpha 90.00
_cell_angle_beta 91.52
_cell_angle_gamma 90.00
_space_group_name_H-M_alt 'P 1 2 1'
_space_group_IT_number 3
loop_
_space_group_symop_operation_xyz
'x,y,z'
'-x,y,-z'
loop_
_atom_site_label
_atom_site_fract_x
_atom_site_fract_y
_atom_site_fract_z
Mg1 0.0000 0.0000 0.0000
Ni1 0.5000 0.0342 0.0000
Ni2 0.5000 0.7397 0.5000
Mo1 0.0000 0.2324 0.5000
Mo2 0.0000 0.5358 0.0000
O1 0.2133 0.4989 0.6834
O2 0.2204 0.2582 0.1706
O3 0.2501 0.0223 0.6717
O4 0.2564 0.7651 0.1528
```

Main lines, in order of rising 2θ (10 to 90 degrees two-theta):
hkl 1 0 0, 2θ 18.27, d = 4.856 Å, rel. 26
hkl 1 1 0, 2θ 23.74, d = 3.748 Å, rel. 85
hkl 1 1 -1, 2θ 29.29, d = 3.050 Å, rel. 86
hkl 1 1 1, 2θ 29.88, d = 2.991 Å, rel. 80
hkl 0 0 2, 2θ 35.18, d = 2.551 Å, rel. 100
hkl 1 3 0, 2θ 50.07, d = 1.822 Å, rel. 29
hkl 2 0 -2, 2θ 51.28, d = 1.782 Å, rel. 27
hkl 2 2 -1, 2θ 51.62, d = 1.771 Å, rel. 39
hkl 2 2 1, 2θ 52.36, d = 1.747 Å, rel. 45
hkl 0 2 3, 2θ 63.16, d = 1.472 Å, rel. 29


3.
Diffraction record for Li4CrTe2WO12. The powder XRD pattern is computed, not measured: it uses DFT lattice parameters and positions (GGA+U) and Cu Kα (weighted mean of Kα1 and Kα2).
Peak positions follow from Bragg's law for the DFT cell and can differ from measured ones.

```
data_Li4CrTe2WO12
_cell_length_a 5.1923
_cell_length_b 5.4669
_cell_length_c 7.5327
_cell_angle_alpha 94.25
_cell_angle_beta 90.06
_cell_angle_gamma 90.04
_space_group_name_H-M_alt 'P 1'
_space_group_IT_number 1
loop_
_space_group_symop_operation_xyz
'x,y,z'
loop_
_atom_site_label
_atom_site_fract_x
_atom_site_fract_y
_atom_site_fract_z
Li1 0.0000 0.0000 0.0000
Li2 0.0022 0.0104 0.4578
Li3 0.4994 0.5374 0.9959
Li4 0.5143 0.5731 0.4402
Cr1 0.0054 0.5868 0.1915
Te1 0.0046 0.5872 0.6925
Te2 0.5073 0.0960 0.1940
W1 0.5039 0.0963 0.6959
O1 0.1302 0.6131 0.9390
O2 0.1916 0.2700 0.6198
O3 0.1995 0.9190 0.2440
O4 0.3308 0.7905 0.6232
O5 0.3332 0.4072 0.2412
O6 0.3749 0.1002 0.9363
O7 0.6323 0.1118 0.4441
O8 0.6634 0.4184 0.7496
O9 0.6969 0.8024 0.1231
O10 0.7984 0.2834 0.1178
O11 0.8173 0.9343 0.7510
O12 0.8843 0.6261 0.4445
```

Main lines, in order of rising 2θ (10 to 90 degrees two-theta):
hkl 0 0 1, 2θ 11.78, d = 7.512 Å, rel. 10
hkl 0 0 2, 2θ 23.67, d = 3.759 Å, rel. 100
hkl 0 2 0, 2θ 32.84, d = 2.727 Å, rel. 39
hkl 2 0 0, 2θ 34.59, d = 2.593 Å, rel. 26
hkl 0 2 2, 2θ 42.34, d = 2.135 Å, rel. 16
hkl 0 0 4, 2θ 48.44, d = 1.879 Å, rel. 18
hkl 1 1 -4, 2θ 53.40, d = 1.716 Å, rel. 27
hkl 3 -1 0, 2θ 55.75, d = 1.649 Å, rel. 11
hkl 1 3 -2, 2θ 57.48, d = 1.603 Å, rel. 8
hkl 3 -1 2, 2θ 60.88, d = 1.522 Å, rel. 10